Record 1
Starting from a DFT-relaxed cell (PBE, OQMD), the powder diffractogram of Pt4O11 was simulated for Cu Kα X-rays.
Lines closer than 0.1° are merged.

Crystal structure
Unit cell a=4.644 b=5.171 c=8.705 alpha=80.57 beta=79.68 gamma=79.54
Space group P1 (No. 1)
Inequivalent atoms, fractional coordinates:
Pt 0.000 0.000 0.000 x1
Pt 0.157 0.527 0.828 x1
Pt 0.485 0.531 0.494 x1
Pt 0.662 0.034 0.330 x1
O 0.046 0.071 0.209 x1
O 0.091 0.489 0.615 x1
O 0.243 0.648 0.014 x1
O 0.306 0.896 0.434 x1
O 0.340 0.160 0.888 x1
O 0.421 0.390 0.306 x1
O 0.533 0.603 0.701 x1
O 0.641 0.898 0.135 x1
O 0.746 0.194 0.504 x1
O 0.812 0.366 0.939 x1
O 0.912 0.877 0.815 x1

Largest 10 diffraction maxima, by angle, 10 to 80 degrees two-theta:
Position (°2θ), intensity
19.2, 29
20.8, 100
20.9, 26
21.7, 33
23.7, 20
24.3, 23
34.2, 27
35.6, 27
35.8, 27
44.3, 23

Record 2
Starting from a DFT-relaxed cell (PBE, OQMD), the powder diffractogram of PtO2 was simulated for Cu Kα X-rays.
Lines closer than 0.1° are merged.

Crystal structure
Unit cell a=4.442 b=4.618 c=3.180 alpha=90.00 beta=90.00 gamma=90.00
Space group Pnnm (No. 58)
Inequivalent atoms, fractional coordinates:
Pt 0.000 0.000 0.000 x2
O 0.132 0.243 0.500 x4

Largest 10 diffraction maxima, by angle, 10 to 80 degrees two-theta:
Position (°2θ), intensity
27.9, 100
34.2, 57
34.7, 44
39.0, 14
40.6, 18
53.2, 41
54.1, 32
57.6, 14
64.0, 10
65.5, 18

Record 3
Starting from a DFT-relaxed cell (PBE, OQMD), the powder diffractogram of PtO2 was simulated for Cu Kα X-rays.
Lines closer than 0.1° are merged.

Crystal structure
Unit cell a=3.229 b=5.421 c=7.586 alpha=90.00 beta=90.00 gamma=90.00
Space group Cmce (No. 64)
Inequivalent atoms, fractional coordinates:
Pt 0.000 0.000 0.000 x4
O 0.000 0.163 0.381 x8

Largest 10 diffraction maxima, by angle, 10 to 80 degrees two-theta:
Position (°2θ), intensity
23.5, 78
33.0, 27
34.4, 100
40.9, 36
48.7, 48
59.5, 14
59.9, 29
70.4, 13
70.8, 16
72.6, 13

Record 4
Starting from a DFT-relaxed cell (PBE, OQMD), the powder diffractogram of Pt5O was simulated for Cu Kα X-rays.
Lines closer than 0.1° are merged.

Crystal structure
Unit cell a=5.1784 b=5.1784 c=4.4806 alpha=90.00 beta=90.00 gamma=120.00
Space group P6/mmm (No. 191)
Inequivalent atoms, fractional coordinates:
Pt 0.0000 0.5000 0.0000 x3
Pt 0.3333 0.6667 0.5000 x2
O 0.0000 0.0000 0.5000 x1

Largest 10 diffraction maxima, by angle, 10 to 80 degrees two-theta:
Position (°2θ), intensity
19.8, 73
34.6, 6
40.2, 100
45.2, 86
54.1, 13
58.2, 9
65.9, 14
69.5, 10
73.1, 25
76.6, 21

Record 5
Starting from a DFT-relaxed cell (PBE, OQMD), the powder diffractogram of Pt2O5 was simulated for Cu Kα X-rays.
Lines closer than 0.1° are merged.

Crystal structure
Unit cell a=5.544 b=7.961 c=4.707 alpha=90.00 beta=114.28 gamma=90.00
Space group Cm (No. 8)
Inequivalent atoms, fractional coordinates:
Pt 0.000 0.172 0.000 x4
O 0.230 0.159 0.770 x4
O 0.258 0.500 0.737 x2
O 0.305 0.300 0.265 x4

Largest 10 diffraction maxima, by angle, 10 to 80 degrees two-theta:
Position (°2θ), intensity
20.7, 100
20.8, 48
22.3, 32
23.8, 28
30.6, 24
32.9, 27
38.3, 45
40.1, 34
42.6, 22
47.5, 31

Record 6
Starting from a DFT-relaxed cell (PBE, OQMD), the powder diffractogram of PtO2 was simulated for Cu Kα X-rays.
Lines closer than 0.1° are merged.

Crystal structure
Unit cell a=10.039 b=10.039 c=3.169 alpha=90.00 beta=90.00 gamma=90.00
Space group I4/m (No. 87)
Inequivalent atoms, fractional coordinates:
Pt 0.147 0.671 0.000 x8
O 0.051 0.328 0.000 x8
O 0.151 0.802 0.500 x8

Largest 10 diffraction maxima, by angle, 10 to 80 degrees two-theta:
Position (°2θ), intensity
12.5, 54
17.7, 52
28.1, 51
34.7, 100
35.8, 19
38.0, 25
47.1, 33
54.9, 12
57.3, 33
66.5, 20

Record 7
Starting from a DFT-relaxed cell (PBE, OQMD), the powder diffractogram of Rb2Pt2O5 was simulated for Cu Kα X-rays.
Lines closer than 0.1° are merged.

Crystal structure
Unit cell a=3.914 b=3.914 c=9.127 alpha=90.00 beta=90.00 gamma=90.00
Space group P4/mmm (No. 123)
Inequivalent atoms, fractional coordinates:
Rb 0.000 0.000 0.000 x1
Rb 0.000 0.000 0.500 x1
Pt 0.500 0.500 0.231 x2
O 0.000 0.500 0.270 x4
O 0.500 0.500 0.000 x1

Largest 10 diffraction maxima, by angle, 10 to 80 degrees two-theta:
Position (°2θ), intensity
19.5, 16
22.7, 18
30.1, 100
32.3, 38
39.5, 15
46.4, 22
51.9, 18
56.3, 35
62.5, 15
77.1, 9

Record 8
Starting from a DFT-relaxed cell (PBE, OQMD), the powder diffractogram of Re2PtO4 was simulated for Cu Kα X-rays.
Lines closer than 0.1° are merged.

Crystal structure
Unit cell a=8.872 b=8.872 c=8.872 alpha=90.00 beta=90.00 gamma=90.00
Space group Fd-3m (No. 227, origin choice 2)
Inequivalent atoms, fractional coordinates:
Re 0.000 0.000 0.000 x16
Pt 0.125 0.125 0.625 x8
O 0.018 0.018 0.232 x32

Largest 10 diffraction maxima, by angle, 10 to 80 degrees two-theta:
Position (°2θ), intensity
17.3, 6
28.5, 29
33.5, 100
35.0, 28
40.7, 8
50.4, 12
53.7, 39
58.9, 37
69.5, 13
70.4, 13

Record 9
Starting from a DFT-relaxed cell (PBE, OQMD), the powder diffractogram of Pt2SO7 was simulated for Cu Kα X-rays.
Lines closer than 0.1° are merged.

Crystal structure
Unit cell a=8.264 b=6.684 c=4.034 alpha=90.00 beta=90.00 gamma=90.00
Space group Pmn2_1 (No. 31)
Inequivalent atoms, fractional coordinates:
Pt 0.211 0.176 0.000 x4
S 0.000 0.502 0.711 x2
O 0.000 0.052 0.999 x2
O 0.000 0.356 0.453 x2
O 0.000 0.716 0.589 x2
O 0.149 0.479 0.927 x4
O 0.248 0.122 0.514 x4

Largest 10 diffraction maxima, by angle, 10 to 80 degrees two-theta:
Position (°2θ), intensity
13.2, 33
21.5, 62
25.3, 38
25.8, 100
33.8, 69
34.9, 34
39.6, 28
40.5, 26
41.3, 25
46.3, 25

Record 10
Starting from a DFT-relaxed cell (PBE, OQMD), the powder diffractogram of PtSO4 was simulated for Cu Kα X-rays.
Lines closer than 0.1° are merged.

Crystal structure
Unit cell a=4.225 b=4.225 c=8.871 alpha=90.00 beta=90.00 gamma=90.00
Space group P4_2/m (No. 84)
Inequivalent atoms, fractional coordinates:
Pt 0.000 0.500 0.000 x2
S 0.000 0.000 0.250 x2
O 0.201 0.783 0.157 x8

Largest 10 diffraction maxima, by angle, 10 to 80 degrees two-theta:
Position (°2θ), intensity
20.0, 15
23.3, 100
29.9, 17
36.3, 44
37.1, 29
47.7, 13
49.3, 27
57.9, 18
60.5, 13
74.1, 11

Record 11
Starting from a DFT-relaxed cell (PBE, OQMD), the powder diffractogram of PtSO4 was simulated for Cu Kα X-rays.
Lines closer than 0.1° are merged.

Crystal structure
Unit cell a=4.060 b=8.478 c=8.832 alpha=90.00 beta=90.00 gamma=90.00
Space group Ibam (No. 72)
Inequivalent atoms, fractional coordinates:
Pt 0.000 0.000 0.000 x4
S 0.000 0.500 0.250 x4
O 0.206 0.391 0.155 x16

Largest 10 diffraction maxima, by angle, 10 to 80 degrees two-theta:
Position (°2θ), intensity
20.1, 23
21.0, 77
24.3, 36
29.2, 27
31.7, 100
38.8, 15
44.1, 37
46.4, 15
48.1, 17
63.0, 13

Record 12
Starting from a DFT-relaxed cell (PBE, OQMD), the powder diffractogram of PtSO4 was simulated for Cu Kα X-rays.
Lines closer than 0.1° are merged.

Crystal structure
Unit cell a=6.117 b=6.118 c=9.015 alpha=90.85 beta=90.99 gamma=90.05
Space group P1 (No. 1)
Inequivalent atoms, fractional coordinates:
Pt 0.000 0.000 0.000 x1
Pt 0.153 0.844 0.500 x1
Pt 0.496 0.496 0.826 x1
Pt 0.648 0.340 0.326 x1
S 0.151 0.341 0.413 x1
S 0.496 0.999 0.913 x1
S 0.652 0.841 0.413 x1
S 0.996 0.499 0.913 x1
O 0.069 0.678 0.017 x1
O 0.081 0.524 0.513 x1
O 0.175 0.424 0.814 x1
O 0.227 0.166 0.517 x1
O 0.322 0.074 0.016 x1
O 0.326 0.408 0.309 x1
O 0.418 0.816 0.815 x1
O 0.473 0.767 0.511 x1
O 0.564 0.174 0.809 x1
O 0.576 0.019 0.314 x1
O 0.680 0.928 0.013 x1
O 0.722 0.661 0.309 x1
O 0.817 0.569 0.809 x1
O 0.831 0.913 0.517 x1
O 0.923 0.320 0.011 x1
O 0.968 0.262 0.315 x1

Largest 10 diffraction maxima, by angle, 10 to 80 degrees two-theta:
Position (°2θ), intensity
19.7, 66
20.5, 59
22.8, 32
24.3, 100
24.7, 99
29.2, 38
30.7, 57
31.0, 53
43.0, 40
45.0, 26

Please write out number 7 again, unchanged.
Starting from a DFT-relaxed cell (PBE, OQMD), the powder diffractogram of Rb2Pt2O5 was simulated for Cu Kα X-rays.
Lines closer than 0.1° are merged.

Crystal structure
Unit cell a=3.914 b=3.914 c=9.127 alpha=90.00 beta=90.00 gamma=90.00
Space group P4/mmm (No. 123)
Inequivalent atoms, fractional coordinates:
Rb 0.000 0.000 0.000 x1
Rb 0.000 0.000 0.500 x1
Pt 0.500 0.500 0.231 x2
O 0.000 0.500 0.270 x4
O 0.500 0.500 0.000 x1

Largest 10 diffraction maxima, by angle, 10 to 80 degrees two-theta:
Position (°2θ), intensity
19.5, 16
22.7, 18
30.1, 100
32.3, 38
39.5, 15
46.4, 22
51.9, 18
56.3, 35
62.5, 15
77.1, 9